Structure and computed powder diffractogram of CrNiAg (the PBE geometry in Alexandria; a wavelength of 1.5418 Å).
Lines closer than 0.1° are merged.

Cell and atoms:
```
data_CrNiAg
_chemical_formula_sum 'Cr1 Ni1 Ag1'
_cell_length_a 5.5232
_cell_length_b 5.5232
_cell_length_c 5.5232
_cell_angle_alpha 149.68
_cell_angle_beta 149.68
_cell_angle_gamma 43.41
_symmetry_space_group_name_H-M 'P 1'
_symmetry_Int_Tables_number 1
_symmetry_space_group_name_Hall 'P 1'
loop_
_atom_site_label
_atom_site_type_symbol
_atom_site_fract_x
_atom_site_fract_y
_atom_site_fract_z
Cr1 Cr 0.0000 0.0000 0.0000
Ni1 Ni 0.6274 0.6274 0.0000
Ag1 Ag 0.3067 0.3067 0.0000
```

Top 10 peaks for 2θ from 10° to 80°, by intensity:
| Position (°2θ) | I_rel |
| --- | --- |
| 40.89 | 1000 |
| 44.34 | 420 |
| 79.26 | 253 |
| 32.19 | 172 |
| 72.01 | 135 |
| 64.51 | 126 |
| 34.97 | 91 |
| 53.58 | 86 |
| 57.68 | 80 |
| 72.26 | 74 |